Structure and calculated powder XRD pattern of AcSm2Al4 (a GGA-PBE-relaxed structure; copper Kα).
Intensities are scaled so that the largest is 100.

Peak list (12 most intense, 5 to 70 degrees two-theta, low angle first)
2θ/deg, I_rel, h k l
19.9, 36, 0 1 1
24.6, 66, 1 0 3
27.9, 25, 0 0 6
29.7, 100, 1 1 2
30.4, 58, 0 1 5
33.9, 23, 1 1 4
38.7, 19, 1 0 7
39.4, 20, 0 2 0
47.0, 25, 1 2 3
47.5, 24, 1 1 8
52.0, 26, 2 1 5
56.4, 24, 0 1 11

Structure:
Unit cell a=4.381 b=4.576 c=19.205 alpha=90.00 beta=90.00 gamma=90.00
Space group Immm (No. 71)
Asymmetric unit:
Ac 0.000 0.000 0.000 x2
Sm 0.000 0.500 0.314 x4
Al 0.000 0.000 0.431 x4
Al 0.000 0.500 0.145 x4